[1]
Computed XRD peak list of Li2GeBr4 for Cu Kα (λ = 1.5418 Å), from a cell relaxed with GGA-PBE.

Principal peaks in the range 15 to 90 degrees two-theta, sorted by position:
d/Å  two_theta  I/Imax
5.394  16.43  11
3.491  25.51  100
3.066  29.13  9
3.003  29.75  17
2.145  42.12  37
2.123  42.58  18
1.842  49.49  15
1.814  50.30  31
1.391  67.30  11
1.230  77.62  12

Structure:
```
data_Li2GeBr4
_space_group_name_H-M_alt 'P 1'
_space_group_IT_number 1
_space_group_name_Hall 'P 1'
_cell_length_a 7.459
_cell_length_b 7.459
_cell_length_c 7.459
_cell_angle_alpha 132.52
_cell_angle_beta 132.52
_cell_angle_gamma 69.41
loop_
_atom_site_label
_atom_site_type_symbol
_atom_site_fract_x
_atom_site_fract_y
_atom_site_fract_z
Li1 Li 0.250 0.750 0.500
Li2 Li 0.750 0.250 0.500
Ge1 Ge 0.000 0.000 0.000
Br1 Br 0.125 0.611 0.000
Br2 Br 0.389 0.389 0.514
Br3 Br 0.611 0.125 0.000
Br4 Br 0.875 0.875 0.486
```

=====

[2]
Computed XRD peak list of Tm2NbS for Cu Kα (λ = 1.5418 Å), from a cell relaxed with GGA-PBE.

Principal peaks in the range 15 to 90 degrees two-theta, sorted by position:
d/Å  two_theta  I/Imax
3.106  28.74  49
2.938  30.42  100
2.891  30.94  42
2.721  32.91  19
2.612  34.33  49
2.256  39.96  37
2.031  44.63  67
1.927  47.17  21
1.706  53.74  40
1.495  62.08  34

Structure:
```
data_Tm2NbS
_space_group_name_H-M_alt 'P 1'
_space_group_IT_number 1
_space_group_name_Hall 'P 1'
_cell_length_a 9.524
_cell_length_b 9.524
_cell_length_c 9.524
_cell_angle_alpha 20.64
_cell_angle_beta 20.64
_cell_angle_gamma 20.64
loop_
_atom_site_label
_atom_site_type_symbol
_atom_site_fract_x
_atom_site_fract_y
_atom_site_fract_z
Tm1 Tm 0.104 0.104 0.104
Tm2 Tm 0.896 0.896 0.896
Nb1 Nb 0.000 0.000 0.000
S1 S 0.500 0.500 0.500
```

=====

[3]
Computed XRD peak list of Ba2Hg7 for Cu Kα (λ = 1.5418 Å), from a cell relaxed with GGA-PBE.

Principal peaks in the range 15 to 90 degrees two-theta, sorted by position:
d/Å  two_theta  I/Imax
5.424  16.34  26
3.152  28.31  15
2.725  32.86  22
2.711  33.04  100
2.657  33.73  33
2.483  36.17  37
2.371  37.95  20
1.722  53.20  24
1.576  58.57  26
1.355  69.32  24

Structure:
```
data_Ba2Hg7
_space_group_name_H-M_alt 'P 1'
_space_group_IT_number 1
_space_group_name_Hall 'P 1'
_cell_length_a 16.352
_cell_length_b 16.352
_cell_length_c 16.352
_cell_angle_alpha 22.23
_cell_angle_beta 22.23
_cell_angle_gamma 22.23
loop_
_atom_site_label
_atom_site_type_symbol
_atom_site_fract_x
_atom_site_fract_y
_atom_site_fract_z
Ba1 Ba 0.050 0.050 0.050
Ba2 Ba 0.148 0.148 0.148
Ba3 Ba 0.852 0.852 0.852
Ba4 Ba 0.950 0.950 0.950
Hg1 Hg 0.000 0.500 0.500
Hg2 Hg 0.106 0.616 0.616
Hg3 Hg 0.278 0.278 0.278
Hg4 Hg 0.384 0.384 0.894
Hg5 Hg 0.384 0.894 0.384
Hg6 Hg 0.391 0.391 0.391
Hg7 Hg 0.500 0.000 0.500
Hg8 Hg 0.500 0.500 0.000
Hg9 Hg 0.500 0.500 0.500
Hg10 Hg 0.609 0.609 0.609
Hg11 Hg 0.616 0.106 0.616
Hg12 Hg 0.616 0.616 0.106
Hg13 Hg 0.722 0.722 0.722
Hg14 Hg 0.894 0.384 0.384
```